Record 1
For Mn3Co20B6, DFT lattice parameters and positions (PBE) gives the simulated powder XRD pattern in this record (CuKα).
Lines closer than 0.1° are merged.

Structural model:
```
Mn3Co20B6
1.0
0.0000 5.1726 5.1726
5.1726 0.0000 5.1726
5.1726 5.1726 0.0000
Mn Co B
3 20 6
Direct
0.0000 0.0000 0.0000 Mn
0.2500 0.2500 0.2500 Mn
0.7500 0.7500 0.7500 Mn
0.0000 0.0000 0.3361 Co
0.0000 0.0000 0.6639 Co
0.0000 0.3361 0.0000 Co
0.0000 0.3361 0.6639 Co
0.0000 0.6639 0.0000 Co
0.0000 0.6639 0.3361 Co
0.1374 0.6209 0.6209 Co
0.3361 0.0000 0.0000 Co
0.3361 0.0000 0.6639 Co
0.3361 0.6639 0.0000 Co
0.3791 0.3791 0.3791 Co
0.3791 0.3791 0.8626 Co
0.3791 0.8626 0.3791 Co
0.6209 0.1374 0.6209 Co
0.6209 0.6209 0.1374 Co
0.6209 0.6209 0.6209 Co
0.6639 0.0000 0.0000 Co
0.6639 0.0000 0.3361 Co
0.6639 0.3361 0.0000 Co
0.8626 0.3791 0.3791 Co
0.2760 0.2760 0.7240 B
0.2760 0.7240 0.2760 B
0.2760 0.7240 0.7240 B
0.7240 0.2760 0.2760 B
0.7240 0.2760 0.7240 B
0.7240 0.7240 0.2760 B
```

The 10 most intense peaks (2θ from 15° to 90°), by intensity:
2θ/deg, I_rel
45.56, 100.0
52.32, 27.5
42.82, 27.4
38.93, 20.7
49.86, 20.1
78.44, 19.2
53.12, 15.2
80.39, 12.9
34.68, 7.9
85.52, 7.8

Record 2
For MnCoB, DFT lattice parameters and positions (PBE) gives the simulated powder XRD pattern in this record (CuKα).
Lines closer than 0.1° are merged.

Structural model:
```
MnCoB
1.0
0.0000 3.5262 3.6073
2.0932 0.0000 3.6073
2.0932 3.5262 0.0000
Mn Co B
2 2 2
Direct
0.1618 0.8382 0.1618 Mn
0.8382 0.1618 0.8382 Mn
0.3333 0.3333 0.6667 Co
0.6667 0.6667 0.3333 Co
0.2500 0.2500 0.2500 B
0.7500 0.7500 0.7500 B
```

The 10 most intense peaks (2θ from 15° to 90°), by intensity:
2θ/deg, I_rel
45.35, 100.0
46.03, 85.5
43.22, 42.4
35.60, 28.4
57.20, 22.3
80.78, 15.8
81.28, 13.8
81.59, 13.7
58.25, 13.6
82.58, 12.1

Record 3
For MnCo21B6Mo, DFT lattice parameters and positions (PBE) gives the simulated powder XRD pattern in this record (CuKα).
Lines closer than 0.1° are merged.

Structural model:
```
MnCo21B6Mo
1.0
0.0000 5.2020 5.2020
5.2020 0.0000 5.2020
5.2020 5.2020 0.0000
Mn Co B Mo
1 21 6 1
Direct
0.0000 0.0000 0.0000 Mn
0.1014 0.6329 0.6329 Co
0.2491 0.2491 0.5894 Co
0.2491 0.2491 0.9123 Co
0.2491 0.5894 0.2491 Co
0.2491 0.5894 0.9123 Co
0.2491 0.9123 0.2491 Co
0.2491 0.9123 0.5894 Co
0.2500 0.2500 0.2500 Co
0.3826 0.8725 0.8725 Co
0.5894 0.2491 0.2491 Co
0.5894 0.2491 0.9123 Co
0.5894 0.9123 0.2491 Co
0.6329 0.1014 0.6329 Co
0.6329 0.6329 0.1014 Co
0.6329 0.6329 0.6329 Co
0.8725 0.3826 0.8725 Co
0.8725 0.8725 0.3826 Co
0.8725 0.8725 0.8725 Co
0.9123 0.2491 0.2491 Co
0.9123 0.2491 0.5894 Co
0.9123 0.5894 0.2491 Co
0.5249 0.5249 0.9751 B
0.5249 0.9751 0.5249 B
0.5249 0.9751 0.9751 B
0.9751 0.5249 0.5249 B
0.9751 0.5249 0.9751 B
0.9751 0.9751 0.5249 B
0.5000 0.5000 0.5000 Mo
```

The 10 most intense peaks (2θ from 15° to 90°), by intensity:
2θ/deg, I_rel
45.29, 100.0
42.57, 34.5
38.70, 26.8
52.00, 26.1
49.56, 23.6
77.92, 22.8
79.84, 12.8
52.79, 11.3
58.88, 8.6
75.33, 7.1

Record 4
For CoB2Mo2, DFT lattice parameters and positions (PBE) gives the simulated powder XRD pattern in this record (CuKα).
Lines closer than 0.1° are merged.

Structural model:
```
CoB2Mo2
1.0
3.1637 0.0000 0.0000
0.0000 4.5765 0.0000
0.0000 0.0000 7.1341
Co B Mo
2 4 4
Direct
0.0000 0.0000 0.0000 Co
0.5000 0.5000 0.5000 Co
0.0000 0.2042 0.5000 B
0.0000 0.7958 0.5000 B
0.5000 0.2958 0.0000 B
0.5000 0.7042 0.0000 B
0.0000 0.5000 0.1999 Mo
0.0000 0.5000 0.8001 Mo
0.5000 0.0000 0.3001 Mo
0.5000 0.0000 0.6999 Mo
```

The 10 most intense peaks (2θ from 15° to 90°), by intensity:
2θ/deg, I_rel
43.02, 100.0
42.86, 47.1
39.38, 38.7
34.46, 31.3
30.92, 28.4
72.68, 23.9
50.88, 21.3
85.96, 18.9
75.05, 17.0
73.92, 16.6

Record 5
For CoBMo, DFT lattice parameters and positions (PBE) gives the simulated powder XRD pattern in this record (CuKα).
Lines closer than 0.1° are merged.

Structural model:
```
CoBMo
1.0
5.7486 0.0000 0.0000
0.0000 3.2433 0.0000
0.0000 0.0000 6.6201
Co B Mo
4 4 4
Direct
0.1437 0.2500 0.0571 Co
0.3563 0.7500 0.5571 Co
0.6437 0.2500 0.4429 Co
0.8563 0.7500 0.9429 Co
0.2280 0.7500 0.8750 B
0.2720 0.2500 0.3750 B
0.7280 0.7500 0.6250 B
0.7720 0.2500 0.1250 B
0.0278 0.2500 0.6739 Mo
0.4722 0.7500 0.1739 Mo
0.5278 0.2500 0.8261 Mo
0.9722 0.7500 0.3261 Mo
```

The 10 most intense peaks (2θ from 15° to 90°), by intensity:
2θ/deg, I_rel
42.04, 100.0
44.27, 47.2
43.95, 36.7
31.14, 29.2
30.70, 27.7
56.77, 17.9
49.52, 17.4
82.57, 15.7
74.46, 14.7
41.61, 13.8

Record 6
For Nb2Co21B6, DFT lattice parameters and positions (PBE) gives the simulated powder XRD pattern in this record (CuKα).
Lines closer than 0.1° are merged.

Structural model:
```
Nb2Co21B6
1.0
0.0000 5.2531 5.2531
5.2531 0.0000 5.2531
5.2531 5.2531 0.0000
Nb Co B
2 21 6
Direct
0.2500 0.2500 0.2500 Nb
0.7500 0.7500 0.7500 Nb
0.0000 0.0000 0.0000 Co
0.0000 0.0000 0.3375 Co
0.0000 0.0000 0.6625 Co
0.0000 0.3375 0.0000 Co
0.0000 0.3375 0.6625 Co
0.0000 0.6625 0.0000 Co
0.0000 0.6625 0.3375 Co
0.1503 0.6166 0.6166 Co
0.3375 0.0000 0.0000 Co
0.3375 0.0000 0.6625 Co
0.3375 0.6625 0.0000 Co
0.3834 0.3834 0.3834 Co
0.3834 0.3834 0.8497 Co
0.3834 0.8497 0.3834 Co
0.6166 0.1503 0.6166 Co
0.6166 0.6166 0.1503 Co
0.6166 0.6166 0.6166 Co
0.6625 0.0000 0.0000 Co
0.6625 0.0000 0.3375 Co
0.6625 0.3375 0.0000 Co
0.8497 0.3834 0.3834 Co
0.2746 0.2746 0.7254 B
0.2746 0.7254 0.2746 B
0.2746 0.7254 0.7254 B
0.7254 0.2746 0.2746 B
0.7254 0.2746 0.7254 B
0.7254 0.7254 0.2746 B
```

The 10 most intense peaks (2θ from 15° to 90°), by intensity:
2θ/deg, I_rel
44.83, 100.0
42.14, 40.9
38.31, 38.2
77.02, 26.2
51.46, 26.1
49.05, 25.7
78.91, 12.2
58.25, 10.9
74.47, 10.6
52.24, 7.8

Record 7
For Nd2Co5B2, DFT lattice parameters and positions (PBE) gives the simulated powder XRD pattern in this record (CuKα).
Lines closer than 0.1° are merged.

Structural model:
```
Nd2Co5B2
1.0
5.1815 0.0000 0.0000
-2.5908 4.4873 0.0000
0.0000 0.0000 20.1079
Nd Co B
8 20 8
Direct
0.3333 0.6667 0.0209 Nd
0.3333 0.6667 0.1746 Nd
0.3333 0.6667 0.3254 Nd
0.3333 0.6667 0.4791 Nd
0.6667 0.3333 0.5209 Nd
0.6667 0.3333 0.6746 Nd
0.6667 0.3333 0.8254 Nd
0.6667 0.3333 0.9791 Nd
0.0000 0.0000 0.0000 Co
0.0000 0.0000 0.5000 Co
0.1605 0.3210 0.6085 Co
0.1605 0.3210 0.8915 Co
0.1605 0.8395 0.6085 Co
0.1605 0.8395 0.8915 Co
0.1680 0.3359 0.7500 Co
0.1680 0.8320 0.7500 Co
0.3210 0.1605 0.1085 Co
0.3210 0.1605 0.3915 Co
0.3359 0.1680 0.2500 Co
0.6641 0.8320 0.7500 Co
0.6790 0.8395 0.6085 Co
0.6790 0.8395 0.8915 Co
0.8320 0.1680 0.2500 Co
0.8320 0.6641 0.2500 Co
0.8395 0.1605 0.1085 Co
0.8395 0.1605 0.3915 Co
0.8395 0.6790 0.1085 Co
0.8395 0.6790 0.3915 Co
0.0000 0.0000 0.1789 B
0.0000 0.0000 0.3211 B
0.0000 0.0000 0.6789 B
0.0000 0.0000 0.8211 B
0.3333 0.6667 0.6746 B
0.3333 0.6667 0.8254 B
0.6667 0.3333 0.1746 B
0.6667 0.3333 0.3254 B
```

The 10 most intense peaks (2θ from 15° to 90°), by intensity:
2θ/deg, I_rel
37.16, 100.0
44.19, 88.6
40.45, 84.7
63.71, 52.6
34.62, 42.1
40.19, 29.0
73.04, 27.7
74.51, 23.9
33.37, 23.8
68.72, 22.8

Record 8
For Nd5Co19B6, DFT lattice parameters and positions (PBE) gives the simulated powder XRD pattern in this record (CuKα).
Lines closer than 0.1° are merged.

Structural model:
```
Nd5Co19B6
1.0
5.1216 0.0000 0.0000
-2.5608 4.4354 0.0000
0.0000 0.0000 16.5549
Nd Co B
5 19 6
Direct
0.0000 0.0000 0.0000 Nd
0.0000 0.0000 0.2048 Nd
0.0000 0.0000 0.4065 Nd
0.0000 0.0000 0.5935 Nd
0.0000 0.0000 0.7952 Nd
0.0000 0.5000 0.0865 Co
0.0000 0.5000 0.3256 Co
0.0000 0.5000 0.5000 Co
0.0000 0.5000 0.6744 Co
0.0000 0.5000 0.9135 Co
0.3333 0.6667 0.2057 Co
0.3333 0.6667 0.7943 Co
0.5000 0.0000 0.0865 Co
0.5000 0.0000 0.3256 Co
0.5000 0.0000 0.5000 Co
0.5000 0.0000 0.6744 Co
0.5000 0.0000 0.9135 Co
0.5000 0.5000 0.0865 Co
0.5000 0.5000 0.3256 Co
0.5000 0.5000 0.5000 Co
0.5000 0.5000 0.6744 Co
0.5000 0.5000 0.9135 Co
0.6667 0.3333 0.2057 Co
0.6667 0.3333 0.7943 Co
0.3333 0.6667 0.0000 B
0.3333 0.6667 0.4116 B
0.3333 0.6667 0.5884 B
0.6667 0.3333 0.0000 B
0.6667 0.3333 0.4116 B
0.6667 0.3333 0.5884 B
```

The 10 most intense peaks (2θ from 15° to 90°), by intensity:
2θ/deg, I_rel
44.74, 100.0
33.78, 95.8
40.68, 94.3
62.06, 34.0
35.04, 31.6
69.65, 25.3
74.04, 24.4
20.02, 15.8
71.06, 14.5
83.91, 14.5